Theoretical X-ray powder pattern
Compound: Ac8PmY6
Radiation: Cu Kα (weighted mean of Kα1 and Kα2)
Structure: a structure optimized by DFT (PBE)
Lines closer than 0.1° are merged.

Principal peaks in the range 2θ from 5° to 70°, low angle first:
2θ 21.63, intensity 38.6, (1 1 1); 2θ 23.97, intensity 41.5, (0 2 1); 2θ 29.95, intensity 42.5, (3 -1 1); 2θ 30.66, intensity 100.0, (1 1 2); 2θ 30.90, intensity 91.0, (3 0 0); 2θ 44.09, intensity 24.7, (4 -2 2); 2θ 47.37, intensity 26.1, (3 2 1); 2θ 54.36, intensity 27.3, (2 -1 4); 2θ 54.81, intensity 17.0, (1 4 2); 2θ 60.79, intensity 17.0, (6 -1 1)

Unit cell a=10.0242 b=10.0242 c=7.1704 alpha=90.00 beta=90.00 gamma=120.00
Sites, in units of the cell vectors:
Ac 0.0499 0.6925 0.3856
Ac 0.3075 0.3574 0.3856
Ac 0.3333 0.6667 0.7718
Ac 0.3574 0.0499 0.6144
Ac 0.6426 0.9501 0.3856
Ac 0.6667 0.3333 0.2282
Ac 0.6925 0.6426 0.6144
Ac 0.9501 0.3075 0.6144
Pm 0.0000 0.0000 0.0000
Y 0.0366 0.3662 0.0974
Y 0.3296 0.9634 0.0974
Y 0.3662 0.3296 0.9026
Y 0.6338 0.6704 0.0974
Y 0.6704 0.0366 0.9026
Y 0.9634 0.6338 0.9026